1.
Starting from a cell relaxed with PBE, the XRD peak list of Ge2N2O was simulated for Cu Kα (weighted mean of Kα1 and Kα2).

Most intense lines, 2θ from 10° to 90°, most intense first:
2θ = 19.5°, 4.557 Å, I 100; 2θ = 21.0°, 4.225 Å, I 47; 2θ = 35.4°, 2.532 Å, I 45; 2θ = 36.8°, 2.444 Å, I 45; 2θ = 35.9°, 2.499 Å, I 45; 2θ = 31.6°, 2.831 Å, I 42; 2θ = 37.7°, 2.387 Å, I 37; 2θ = 65.1°, 1.433 Å, I 28

Structure:
```
Ge2N2O
1.0
4.9842 -2.7059 0.0000
4.9842 2.7059 0.0000
-3.1690 0.0000 5.0645
Ge N O
4 4 2
Direct
0.0753 0.9247 0.5000 Ge
0.5885 0.7597 0.9911 Ge
0.7597 0.5885 0.4911 Ge
0.9247 0.0753 0.0000 Ge
0.4699 0.6882 0.6254 N
0.6882 0.4699 0.1254 N
0.8579 0.9046 0.6398 N
0.9046 0.8579 0.1398 N
0.0609 0.2851 0.6131 O
0.2851 0.0609 0.1131 O
```

2.
Starting from a cell relaxed with PBE, the XRD peak list of Ge2N2O was simulated for Cu Kα (weighted mean of Kα1 and Kα2).

Most intense lines, 2θ from 10° to 90°, most intense first:
2θ = 24.9°, 3.582 Å, I 100; 2θ = 18.8°, 4.714 Å, I 99; 2θ = 36.8°, 2.440 Å, I 79; 2θ = 35.3°, 2.542 Å, I 69; 2θ = 34.7°, 2.588 Å, I 54; 2θ = 32.4°, 2.767 Å, I 50; 2θ = 17.9°, 4.962 Å, I 48; 2θ = 67.2°, 1.394 Å, I 30

Structure:
```
Ge2N2O
1.0
4.7144 -2.9174 0.0000
4.7144 2.9174 0.0000
0.0000 0.0000 5.1766
Ge N O
4 4 2
Direct
0.0209 0.3295 0.0000 Ge
0.3295 0.0209 0.5000 Ge
0.6705 0.9791 0.0000 Ge
0.9791 0.6705 0.5000 Ge
0.0814 0.3367 0.3487 N
0.3367 0.0814 0.8487 N
0.6633 0.9186 0.3487 N
0.9186 0.6633 0.8487 N
0.2413 0.7587 0.4184 O
0.7587 0.2413 0.9184 O
```

3.
Starting from a cell relaxed with PBE, the XRD peak list of Ge2N2O was simulated for Cu Kα (weighted mean of Kα1 and Kα2).

Most intense lines, 2θ from 10° to 90°, most intense first:
2θ = 28.2°, 3.167 Å, I 100; 2θ = 33.6°, 2.665 Å, I 42; 2θ = 28.4°, 3.138 Å, I 32; 2θ = 37.3°, 2.410 Å, I 31; 2θ = 35.3°, 2.543 Å, I 24; 2θ = 30.6°, 2.922 Å, I 23; 2θ = 31.7°, 2.821 Å, I 19; 2θ = 37.5°, 2.398 Å, I 18

Structure:
```
Ge2N2O
1.0
5.3391 0.0000 0.0000
0.0000 8.3976 0.0000
-2.5269 0.0000 5.3302
Ge N O
8 8 4
Direct
0.0000 0.0218 0.0000 Ge
0.0000 0.9782 0.5000 Ge
0.4361 0.2153 0.8649 Ge
0.4361 0.7847 0.3649 Ge
0.5832 0.3020 0.4181 Ge
0.5832 0.6980 0.9181 Ge
0.9882 0.4031 0.9559 Ge
0.9882 0.5969 0.4559 Ge
0.2138 0.0370 0.8236 N
0.2138 0.9630 0.3236 N
0.3621 0.3506 0.0818 N
0.3621 0.6494 0.5818 N
0.8104 0.2105 0.9526 N
0.8104 0.7895 0.4526 N
0.8672 0.4418 0.6099 N
0.8672 0.5582 0.1099 N
0.3330 0.2913 0.5474 O
0.3330 0.7087 0.0474 O
0.7150 0.1149 0.3681 O
0.7150 0.8851 0.8681 O
```

4.
Starting from a cell relaxed with PBE, the XRD peak list of Ge2N2O was simulated for Cu Kα (weighted mean of Kα1 and Kα2).

Most intense lines, 2θ from 10° to 90°, most intense first:
2θ = 20.1°, 4.416 Å, I 100; 2θ = 37.3°, 2.411 Å, I 59; 2θ = 32.7°, 2.735 Å, I 38; 2θ = 35.4°, 2.539 Å, I 38; 2θ = 35.1°, 2.555 Å, I 36; 2θ = 20.2°, 4.388 Å, I 35; 2θ = 55.7°, 1.650 Å, I 22; 2θ = 67.6°, 1.386 Å, I 20

Structure:
```
Ge2N2O
1.0
1.5469 -8.7751 0.0000
1.5469 8.7751 0.0000
0.0000 0.0000 5.1100
Ge N O
4 4 2
Direct
0.0574 0.9426 0.5000 Ge
0.2823 0.7177 0.9891 Ge
0.7177 0.2823 0.4891 Ge
0.9426 0.0574 0.0000 Ge
0.2575 0.7425 0.3457 N
0.3873 0.6127 0.9375 N
0.6127 0.3873 0.4375 N
0.7425 0.2575 0.8457 N
0.0311 0.9689 0.8378 O
0.9689 0.0311 0.3378 O
```

5.
Starting from a cell relaxed with PBE, the XRD peak list of Ge2N2O was simulated for Cu Kα (weighted mean of Kα1 and Kα2).

Most intense lines, 2θ from 10° to 90°, most intense first:
2θ = 34.4°, 2.607 Å, I 100; 2θ = 19.6°, 4.527 Å, I 93; 2θ = 35.3°, 2.542 Å, I 64; 2θ = 35.1°, 2.555 Å, I 47; 2θ = 25.3°, 3.520 Å, I 42; 2θ = 58.8°, 1.571 Å, I 40; 2θ = 39.9°, 2.260 Å, I 38; 2θ = 59.0°, 1.566 Å, I 31

Structure:
```
Ge2N2O
1.0
2.6934 -4.8788 0.0000
2.6934 4.8788 0.0000
-1.6938 0.0000 5.0836
Ge N O
4 4 2
Direct
0.0820 0.9180 0.5000 Ge
0.2526 0.7633 0.0036 Ge
0.7633 0.2526 0.5036 Ge
0.9180 0.0820 0.0000 Ge
0.1589 0.9992 0.8616 N
0.3732 0.9220 0.3688 N
0.9220 0.3732 0.8688 N
0.9992 0.1589 0.3616 N
0.5363 0.7711 0.8826 O
0.7711 0.5363 0.3826 O
```

6.
Starting from a cell relaxed with PBE, the XRD peak list of Ge2N2O was simulated for Cu Kα (weighted mean of Kα1 and Kα2).

Most intense lines, 2θ from 10° to 90°, most intense first:
2θ = 34.3°, 2.614 Å, I 100; 2θ = 20.6°, 4.308 Å, I 52; 2θ = 19.1°, 4.644 Å, I 40; 2θ = 56.5°, 1.628 Å, I 28; 2θ = 70.6°, 1.334 Å, I 18; 2θ = 30.4°, 2.943 Å, I 17; 2θ = 41.2°, 2.192 Å, I 16; 2θ = 39.5°, 2.279 Å, I 15

Structure:
```
Ge2N2O
1.0
3.1031 0.0000 0.0000
0.0000 9.2877 0.0000
0.0000 0.0000 4.8632
Ge N O
4 4 2
Direct
0.0000 0.1739 0.0000 Ge
0.0000 0.8261 0.0000 Ge
0.5000 0.3261 0.5000 Ge
0.5000 0.6739 0.5000 Ge
0.0000 0.3022 0.2964 N
0.0000 0.6978 0.2964 N
0.5000 0.1978 0.7964 N
0.5000 0.8022 0.7964 N
0.0000 0.0000 0.1578 O
0.5000 0.5000 0.6578 O
```

7.
Starting from a cell relaxed with PBE, the XRD peak list of Ge2N2O was simulated for Cu Kα (weighted mean of Kα1 and Kα2).

Most intense lines, 2θ from 10° to 90°, most intense first:
2θ = 19.6°, 4.529 Å, I 100; 2θ = 21.1°, 4.217 Å, I 79; 2θ = 19.1°, 4.648 Å, I 79; 2θ = 35.5°, 2.531 Å, I 79; 2θ = 35.8°, 2.509 Å, I 72; 2θ = 36.5°, 2.461 Å, I 44; 2θ = 37.1°, 2.424 Å, I 37; 2θ = 32.8°, 2.733 Å, I 37

Structure:
```
Ge2N2O
1.0
5.4688 0.0000 0.0000
2.5911 4.9861 0.0000
2.6932 -1.3427 10.0345
Ge N O
8 8 4
Direct
0.0000 0.0000 0.0000 Ge
0.0001 0.4943 0.4974 Ge
0.1800 0.0926 0.2454 Ge
0.2134 0.5858 0.7432 Ge
0.3208 0.3511 0.9983 Ge
0.3224 0.8451 0.4987 Ge
0.8137 0.2286 0.7466 Ge
0.8334 0.7456 0.2504 Ge
0.1090 0.6533 0.9263 N
0.1236 0.1483 0.4253 N
0.1481 0.4082 0.1789 N
0.1489 0.9095 0.6788 N
0.5554 0.3147 0.6583 N
0.7101 0.7439 0.4341 N
0.7112 0.2479 0.9326 N
0.9406 0.0013 0.1844 N
0.2833 0.5749 0.4332 O
0.2939 0.0691 0.9371 O
0.5396 0.8166 0.1830 O
0.9559 0.4933 0.6805 O
```

8.
Starting from a cell relaxed with PBE, the XRD peak list of Ge11N11O5 was simulated for Cu Kα (weighted mean of Kα1 and Kα2).

Most intense lines, 2θ from 10° to 90°, most intense first:
2θ = 35.7°, 2.515 Å, I 100; 2θ = 35.6°, 2.522 Å, I 73; 2θ = 18.4°, 4.822 Å, I 45; 2θ = 43.3°, 2.088 Å, I 41; 2θ = 62.9°, 1.479 Å, I 38; 2θ = 57.4°, 1.605 Å, I 32; 2θ = 37.3°, 2.408 Å, I 29; 2θ = 30.3°, 2.954 Å, I 29

Structure:
```
Ge11N11O5
1.0
5.1302 -2.9447 0.0000
5.1302 2.9447 0.0000
-3.4095 0.0000 9.6386
Ge N O
11 11 5
Direct
0.0000 0.0000 0.0000 Ge
0.2561 0.2561 0.2457 Ge
0.2566 0.7557 0.2481 Ge
0.2581 0.7457 0.7443 Ge
0.3264 0.3264 0.9363 Ge
0.5073 0.5073 0.4988 Ge
0.6920 0.6920 0.0603 Ge
0.7457 0.2581 0.7443 Ge
0.7536 0.7536 0.7488 Ge
0.7557 0.2566 0.2481 Ge
0.8197 0.8197 0.4374 Ge
0.1197 0.6550 0.8659 N
0.1545 0.6192 0.3720 N
0.3598 0.8936 0.1247 N
0.3887 0.3887 0.1373 N
0.6192 0.1545 0.3720 N
0.6199 0.6199 0.3725 N
0.6270 0.6270 0.8626 N
0.6550 0.1197 0.8659 N
0.8860 0.8860 0.6364 N
0.8910 0.8910 0.1267 N
0.8936 0.3598 0.1247 N
0.1176 0.1176 0.8628 O
0.1214 0.1214 0.3442 O
0.4024 0.4024 0.6300 O
0.4031 0.8415 0.6333 O
0.8415 0.4031 0.6333 O
```

9.
Starting from a cell relaxed with PBE, the XRD peak list of Ge2N2O was simulated for Cu Kα (weighted mean of Kα1 and Kα2).

Most intense lines, 2θ from 10° to 90°, most intense first:
2θ = 35.9°, 2.503 Å, I 100; 2θ = 18.5°, 4.792 Å, I 33; 2θ = 63.4°, 1.468 Å, I 30; 2θ = 57.8°, 1.596 Å, I 27; 2θ = 37.5°, 2.396 Å, I 23; 2θ = 43.7°, 2.073 Å, I 19; 2θ = 30.5°, 2.935 Å, I 18; 2θ = 63.5°, 1.466 Å, I 15

Structure:
```
Ge2N2O
1.0
-2.9316 2.9316 12.4764
2.9316 -2.9316 12.4764
2.9316 2.9316 -12.4764
Ge N O
16 16 8
Direct
0.0000 0.0000 0.0000 Ge
0.0000 0.0000 0.5000 Ge
0.0000 0.5000 0.0000 Ge
0.1695 0.6682 0.5013 Ge
0.2059 0.4559 0.7500 Ge
0.3318 0.3330 0.5013 Ge
0.3318 0.8305 0.9987 Ge
0.3330 0.3318 0.0013 Ge
0.4559 0.2059 0.2500 Ge
0.5000 0.0000 0.5000 Ge
0.5441 0.7941 0.7500 Ge
0.6670 0.6682 0.9987 Ge
0.6682 0.1695 0.0013 Ge
0.6682 0.6670 0.4987 Ge
0.7941 0.5441 0.2500 Ge
0.8305 0.3318 0.4987 Ge
0.1024 0.5876 0.5148 N
0.2349 0.7492 0.4857 N
0.2365 0.2508 0.9857 N
0.2508 0.2365 0.4857 N
0.2508 0.7651 0.0143 N
0.4124 0.4272 0.5148 N
0.4124 0.8976 0.9852 N
0.4272 0.4124 0.0148 N
0.5728 0.5876 0.9852 N
0.5876 0.1024 0.0148 N
0.5876 0.5728 0.4852 N
0.7492 0.2349 0.9857 N
0.7492 0.7635 0.5143 N
0.7635 0.7492 0.0143 N
0.7651 0.2508 0.5143 N
0.8976 0.4124 0.4852 N
0.0767 0.1108 0.5340 O
0.0767 0.5427 0.9660 O
0.1108 0.0767 0.0340 O
0.4573 0.9233 0.5340 O
0.5427 0.0767 0.4660 O
0.8892 0.9233 0.9660 O
0.9233 0.4573 0.0340 O
0.9233 0.8892 0.4660 O
```

10.
Starting from a cell relaxed with PBE, the XRD peak list of SiGeN2O was simulated for Cu Kα (weighted mean of Kα1 and Kα2).

Most intense lines, 2θ from 10° to 90°, most intense first:
2θ = 19.4°, 4.566 Å, I 100; 2θ = 18.4°, 4.825 Å, I 57; 2θ = 33.4°, 2.683 Å, I 53; 2θ = 25.7°, 3.471 Å, I 51; 2θ = 35.7°, 2.517 Å, I 48; 2θ = 25.5°, 3.496 Å, I 47; 2θ = 17.6°, 5.034 Å, I 43; 2θ = 37.9°, 2.372 Å, I 43

Structure:
```
SiGeN2O
1.0
2.8416 -4.5663 0.0000
2.8416 4.5663 0.0000
-0.0414 0.0000 5.0338
Si Ge N O
2 2 4 2
Direct
0.1741 0.8259 0.0000 Si
0.8259 0.1741 0.0000 Si
0.1248 0.4822 0.5050 Ge
0.4822 0.1248 0.5050 Ge
0.0402 0.4948 0.8594 N
0.2183 0.8154 0.3393 N
0.4948 0.0402 0.8594 N
0.8154 0.2183 0.3393 N
0.4174 0.4174 0.4523 O
0.9636 0.9636 0.9252 O
```

11.
Starting from a cell relaxed with PBE, the XRD peak list of SiGeN2O was simulated for Cu Kα (weighted mean of Kα1 and Kα2).

Most intense lines, 2θ from 10° to 90°, most intense first:
2θ = 25.7°, 3.468 Å, I 100; 2θ = 19.3°, 4.592 Å, I 73; 2θ = 18.5°, 4.802 Å, I 68; 2θ = 38.0°, 2.370 Å, I 46; 2θ = 36.6°, 2.456 Å, I 44; 2θ = 35.9°, 2.504 Å, I 40; 2θ = 33.3°, 2.690 Å, I 39; 2θ = 26.3°, 3.385 Å, I 18

Structure:
```
SiGeN2O
1.0
5.3860 0.0000 0.0000
0.0000 5.0089 0.0000
-2.4407 0.0000 4.8064
Si Ge N O
2 2 4 2
Direct
0.1652 0.0000 0.0181 Si
0.8348 0.5000 0.9819 Si
0.4805 0.5017 0.3243 Ge
0.5195 0.0017 0.6757 Ge
0.1528 0.3402 0.0747 N
0.4131 0.8607 0.3264 N
0.5869 0.3607 0.6736 N
0.8472 0.8402 0.9253 N
0.2489 0.9292 0.7680 O
0.7511 0.4292 0.2320 O
```

12.
Starting from a cell relaxed with PBE, the XRD peak list of GePbN2 was simulated for Cu Kα (weighted mean of Kα1 and Kα2).

Most intense lines, 2θ from 10° to 90°, most intense first:
2θ = 32.9°, 2.719 Å, I 100; 2θ = 33.1°, 2.709 Å, I 61; 2θ = 59.0°, 1.566 Å, I 39; 2θ = 26.0°, 3.432 Å, I 33; 2θ = 47.5°, 1.916 Å, I 26; 2θ = 79.0°, 1.212 Å, I 19; 2θ = 58.7°, 1.572 Å, I 18; 2θ = 48.8°, 1.866 Å, I 16

Structure:
```
GePbN2
1.0
3.8316 0.0000 0.0000
0.0000 3.8316 0.0000
0.0000 0.0000 7.7182
Ge Pb N
2 2 4
Direct
0.2500 0.2500 0.0956 Ge
0.7500 0.7500 0.9044 Ge
0.2500 0.2500 0.6489 Pb
0.7500 0.7500 0.3511 Pb
0.2500 0.2500 0.3382 N
0.2500 0.7500 0.0000 N
0.7500 0.2500 0.0000 N
0.7500 0.7500 0.6618 N
```